Mg3ZnAu12: calculated powder X-ray diffraction pattern (Cu Kα (λ = 1.5418 Å)), based on a crystal structure in Alexandria, relaxed with PBE.
Intensities are scaled so that the largest is 100.

Largest 6 diffraction maxima, in order of rising 2θ, 2θ = 10–90°:
hkl 1 0 0, 21.3°, I 13.2
hkl 1 1 4, 37.7°, I 100.0
hkl 2 0 0, 43.4°, I 33.9
hkl 0 0 8, 44.6°, I 15.7
hkl 2 0 8, 64.0°, I 21.5
hkl 3 1 4, 75.8°, I 26.8

Structural model:
a b c (Å): 4.1702 4.1702 16.2598
angles (deg): 90.00 90.00 90.00
Space group P4/mmm (No. 123)
Symmetry-distinct sites (fractional):
Mg  0.0000  0.0000  0.0000 (multiplicity 1)
Mg  0.0000  0.0000  0.2515 (multiplicity 2)
Zn  0.0000  0.0000  0.5000 (multiplicity 1)
Au  0.0000  0.5000  0.1258 (multiplicity 4)
Au  0.0000  0.5000  0.3770 (multiplicity 4)
Au  0.5000  0.5000  0.0000 (multiplicity 1)
Au  0.5000  0.5000  0.2517 (multiplicity 2)
Au  0.5000  0.5000  0.5000 (multiplicity 1)